Calculated XRD peak list
Compound: Tb2Ga2Rh5Au
Radiation: Cu Kα, 1.54184 Å
Structure: the PBE geometry in Alexandria

Structural model:
```
data_Tb2Ga2Rh5Au
_cell_length_a 9.730
_cell_length_b 9.730
_cell_length_c 3.653
_cell_angle_alpha 90.00
_cell_angle_beta 90.00
_cell_angle_gamma 90.00
_symmetry_space_group_name_H-M 'P 4/m b m'
_symmetry_Int_Tables_number 127
_symmetry_space_group_name_Hall '-P 4 2ab'
loop_
_atom_site_label
_atom_site_type_symbol
_atom_site_fract_x
_atom_site_fract_y
_atom_site_fract_z
Tb1 Tb 0.176 0.324 0.000
Ga1 Ga 0.123 0.623 0.000
Rh1 Rh 0.000 0.500 0.500
Rh2 Rh 0.068 0.792 0.500
Au1 Au 0.000 0.000 0.000
```

The 10 most intense peaks (5° ≤ 2θ ≤ 70°), in order of falling intensity:
Position (°2θ)	d (Å)	I_rel	(hkl)
38.2	2.353	100.0	3 1 1
38.1	2.360	38.4	4 1 0
35.9	2.504	29.5	2 2 1
41.6	2.171	26.4	3 2 1
32.0	2.798	21.9	2 1 1
49.9	1.827	20.3	0 0 2
41.5	2.176	20.0	4 2 0
64.5	1.444	16.2	4 1 2
66.9	1.399	9.7	4 2 2
62.7	1.482	9.1	6 0 1

---

Calculated XRD peak list
Compound: GaAuS
Radiation: Cu Kα, 1.54184 Å
Structure: the PBE geometry in Alexandria

Structural model:
```
data_GaAuS
_cell_length_a 3.618
_cell_length_b 3.799
_cell_length_c 5.174
_cell_angle_alpha 90.00
_cell_angle_beta 110.39
_cell_angle_gamma 90.00
_symmetry_space_group_name_H-M 'P 1 m 1'
_symmetry_Int_Tables_number 6
loop_
_symmetry_equiv_pos_as_xyz
'x,y,z'
'x,-y,z'
loop_
_atom_site_label
_atom_site_type_symbol
_atom_site_fract_x
_atom_site_fract_y
_atom_site_fract_z
Ga1 Ga 0.000 0.000 0.000
Au1 Au 0.831 0.500 0.662
S1 S 0.652 0.000 0.305
```

The 10 most intense peaks (5° ≤ 2θ ≤ 70°), in order of falling intensity:
Position (°2θ)	d (Å)	I_rel	(hkl)
26.3	3.389	100.0	1 0 -1
29.9	2.991	78.1	0 1 1
44.5	2.035	71.6	1 1 1
18.3	4.850	35.9	0 0 1
35.5	2.529	34.0	1 1 0
55.4	1.657	25.7	1 2 -1
44.3	2.044	23.1	0 1 2
59.7	1.548	21.9	2 1 0
53.6	1.710	16.1	1 0 2
47.9	1.900	14.5	0 2 0

---

Calculated XRD peak list
Compound: GaAuS2
Radiation: Cu Kα, 1.54184 Å
Structure: the PBE geometry in Alexandria

Structural model:
```
data_GaAuS2
_cell_length_a 11.249
_cell_length_b 6.390
_cell_length_c 7.824
_cell_angle_alpha 90.00
_cell_angle_beta 132.60
_cell_angle_gamma 90.00
_symmetry_space_group_name_H-M 'C 1 2 1'
_symmetry_Int_Tables_number 5
loop_
_symmetry_equiv_pos_as_xyz
'x,y,z'
'-x,y,-z'
'x+1/2,y+1/2,z'
'-x+1/2,y+1/2,-z'
loop_
_atom_site_label
_atom_site_type_symbol
_atom_site_fract_x
_atom_site_fract_y
_atom_site_fract_z
Ga1 Ga 0.141 0.000 0.008
Au1 Au 0.174 0.608 0.221
S1 S 0.141 0.949 0.307
S2 S 0.168 0.365 0.988
```

The 10 most intense peaks (5° ≤ 2θ ≤ 70°), in order of falling intensity:
Position (°2θ)	d (Å)	I_rel	(hkl)
17.9	4.948	100.0	1 1 -1
27.9	3.199	84.0	0 2 0
29.1	3.071	69.4	3 1 -2
15.8	5.616	63.4	2 0 -1
15.4	5.759	62.6	0 0 1
21.5	4.140	38.9	2 0 0
34.7	2.583	37.9	4 0 -1
36.3	2.474	35.9	2 2 -2
42.9	2.107	33.7	1 1 -3
37.2	2.414	29.8	3 1 -3

---

Calculated XRD peak list
Compound: Ga2SbAu3
Radiation: Cu Kα, 1.54184 Å
Structure: the PBE geometry in Alexandria

Structural model:
```
data_Ga2SbAu3
_cell_length_a 4.364
_cell_length_b 3.959
_cell_length_c 14.945
_cell_angle_alpha 90.00
_cell_angle_beta 96.93
_cell_angle_gamma 90.00
_symmetry_space_group_name_H-M 'P 1 21/m 1'
_symmetry_Int_Tables_number 11
loop_
_symmetry_equiv_pos_as_xyz
'x,y,z'
'-x,-y,-z'
'-x,y+1/2,-z'
'x,-y+1/2,z'
loop_
_atom_site_label
_atom_site_type_symbol
_atom_site_fract_x
_atom_site_fract_y
_atom_site_fract_z
Ga1 Ga 0.202 0.250 0.387
Ga2 Ga 0.204 0.750 0.887
Sb1 Sb 0.163 0.750 0.240
Au1 Au 0.257 0.250 0.014
Au2 Au 0.258 0.750 0.516
Au3 Au 0.341 0.750 0.722
```

The 10 most intense peaks (5° ≤ 2θ ≤ 70°), in order of falling intensity:
Position (°2θ)	d (Å)	I_rel	(hkl)
41.6	2.172	100.0	1 1 -5
24.0	3.709	95.1	0 0 4
37.0	2.431	85.7	1 1 3
30.7	2.913	85.4	1 1 -1
45.8	1.979	59.4	0 2 0
41.7	2.166	39.5	2 0 0
23.3	3.825	35.4	0 1 1
30.6	2.922	31.0	1 1 0
45.3	2.002	28.5	1 1 5
33.9	2.647	27.1	1 1 2

---

Calculated XRD peak list
Compound: GaSbAu4
Radiation: Cu Kα, 1.54184 Å
Structure: the PBE geometry in Alexandria

Structural model:
```
data_GaSbAu4
_cell_length_a 4.069
_cell_length_b 4.092
_cell_length_c 8.036
_cell_angle_alpha 103.74
_cell_angle_beta 92.63
_cell_angle_gamma 106.66
_symmetry_space_group_name_H-M 'P -1'
_symmetry_Int_Tables_number 2
loop_
_symmetry_equiv_pos_as_xyz
'x,y,z'
'-x,-y,-z'
loop_
_atom_site_label
_atom_site_type_symbol
_atom_site_fract_x
_atom_site_fract_y
_atom_site_fract_z
Ga1 Ga 0.000 0.000 0.000
Sb1 Sb 0.000 0.500 0.500
Au1 Au 0.304 0.492 0.850
Au2 Au 0.341 0.014 0.321
```

The 10 most intense peaks (5° ≤ 2θ ≤ 70°), in order of falling intensity:
Position (°2θ)	d (Å)	I_rel	(hkl)
31.1	2.873	100.0	-1 1 1
34.7	2.584	76.7	1 0 2
47.6	1.912	62.0	0 1 3
37.0	2.431	60.9	1 1 -1
36.6	2.453	60.6	0 1 -3
50.0	1.823	46.0	2 0 -2
47.1	1.930	32.3	2 -1 1
48.1	1.892	30.5	0 2 0
63.9	1.456	13.0	2 1 1
63.3	1.470	11.9	1 -1 5

---

Calculated XRD peak list
Compound: Ga2Sb2Au3
Radiation: Cu Kα, 1.54184 Å
Structure: the PBE geometry in Alexandria

Structural model:
```
data_Ga2Sb2Au3
_cell_length_a 7.771
_cell_length_b 5.367
_cell_length_c 7.690
_cell_angle_alpha 90.00
_cell_angle_beta 95.84
_cell_angle_gamma 90.00
_symmetry_space_group_name_H-M 'P 1 21/c 1'
_symmetry_Int_Tables_number 14
loop_
_symmetry_equiv_pos_as_xyz
'x,y,z'
'-x,-y,-z'
'-x,y+1/2,-z+1/2'
'x,-y+1/2,z+1/2'
loop_
_atom_site_label
_atom_site_type_symbol
_atom_site_fract_x
_atom_site_fract_y
_atom_site_fract_z
Ga1 Ga 0.202 0.239 0.490
Sb1 Sb 0.320 0.663 0.195
Au1 Au 0.046 0.513 0.717
Au2 Au 0.500 0.000 0.000
```

The 10 most intense peaks (5° ≤ 2θ ≤ 70°), in order of falling intensity:
Position (°2θ)	d (Å)	I_rel	(hkl)
29.9	2.990	100.0	2 1 -1
27.0	3.298	60.9	1 0 2
40.9	2.204	60.9	2 2 0
42.1	2.146	42.4	1 2 -2
43.5	2.081	38.4	1 2 2
20.2	4.394	38.2	0 1 1
39.8	2.265	32.1	1 1 -3
44.3	2.043	31.9	3 0 2
41.7	2.168	28.5	3 1 1
31.9	2.810	25.5	1 1 2

---

Calculated XRD peak list
Compound: GaSb2Au
Radiation: Cu Kα, 1.54184 Å
Structure: the PBE geometry in Alexandria

Structural model:
```
data_GaSb2Au
_cell_length_a 4.2193
_cell_length_b 4.2193
_cell_length_c 19.5414
_cell_angle_alpha 90.00
_cell_angle_beta 90.00
_cell_angle_gamma 120.00
_symmetry_space_group_name_H-M 'R 3 m'
_symmetry_Int_Tables_number 160
_symmetry_space_group_name_Hall 'R 3 -2"'
loop_
_atom_site_label
_atom_site_type_symbol
_atom_site_fract_x
_atom_site_fract_y
_atom_site_fract_z
Ga1 Ga 0.0000 0.0000 0.0000
Sb1 Sb 0.0000 0.0000 0.2460
Sb2 Sb 0.0000 0.0000 0.4274
Au1 Au 0.0000 0.0000 0.8346
```

The 10 most intense peaks (5° ≤ 2θ ≤ 70°), in order of falling intensity:
Position (°2θ)	d (Å)	I_rel	(hkl)
33.6	2.669	100.0	0 1 5
26.0	3.423	64.8	0 1 2
42.9	2.110	61.7	1 1 0
40.7	2.218	44.7	1 0 7
13.6	6.514	31.2	0 0 3
55.5	1.655	23.6	2 0 5
53.2	1.723	16.0	1 0 10
60.6	1.529	13.7	0 2 7
50.8	1.796	10.6	2 0 2
45.2	2.007	10.3	1 1 3

---

Calculated XRD peak list
Compound: Sr3Ga2SbAu9
Radiation: Cu Kα, 1.54184 Å
Structure: the PBE geometry in Alexandria

Structural model:
```
data_Sr3Ga2SbAu9
_cell_length_a 7.7874
_cell_length_b 7.7874
_cell_length_c 7.4816
_cell_angle_alpha 90.00
_cell_angle_beta 90.00
_cell_angle_gamma 120.00
_symmetry_space_group_name_H-M 'P -3 m 1'
_symmetry_Int_Tables_number 164
_symmetry_space_group_name_Hall '-P 3 2"'
loop_
_atom_site_label
_atom_site_type_symbol
_atom_site_fract_x
_atom_site_fract_y
_atom_site_fract_z
Sr1 Sr 0.0000 0.0000 0.0000
Sr2 Sr 0.3333 0.6667 0.6618
Ga1 Ga 0.3333 0.6667 0.1480
Sb1 Sb 0.0000 0.0000 0.5000
Au1 Au 0.0000 0.5000 0.0000
Au2 Au 0.1727 0.3454 0.3162
```

The 10 most intense peaks (5° ≤ 2θ ≤ 70°), in order of falling intensity:
Position (°2θ)	d (Å)	I_rel	(hkl)
29.0	3.074	100.0	0 2 1
35.9	2.505	96.7	2 0 2
46.7	1.947	46.5	2 2 0
17.7	5.009	36.9	1 0 1
56.2	1.636	24.5	0 2 4
60.3	1.535	24.4	2 2 3
60.2	1.537	21.3	0 4 2
36.0	2.494	18.1	0 0 3
55.9	1.645	16.1	4 0 1
37.3	2.413	11.6	2 1 1

---

Calculated XRD peak list
Compound: Sc4Ga3Au
Radiation: Cu Kα, 1.54184 Å
Structure: the PBE geometry in Alexandria

Structural model:
```
data_Sc4Ga3Au
_cell_length_a 3.378
_cell_length_b 3.378
_cell_length_c 13.436
_cell_angle_alpha 90.00
_cell_angle_beta 90.00
_cell_angle_gamma 90.00
_symmetry_space_group_name_H-M 'P 4/m m m'
_symmetry_Int_Tables_number 123
_symmetry_space_group_name_Hall '-P 4 2'
loop_
_atom_site_label
_atom_site_type_symbol
_atom_site_fract_x
_atom_site_fract_y
_atom_site_fract_z
Sc1 Sc 0.000 0.000 0.123
Sc2 Sc 0.000 0.000 0.373
Ga1 Ga 0.500 0.500 0.000
Ga2 Ga 0.500 0.500 0.248
Au1 Au 0.500 0.500 0.500
```

The 10 most intense peaks (5° ≤ 2θ ≤ 70°), in order of falling intensity:
Position (°2θ)	d (Å)	I_rel	(hkl)
37.8	2.382	100.0	1 0 4
37.7	2.389	50.5	1 1 0
6.6	13.436	49.5	0 0 1
68.0	1.378	33.4	2 1 4
26.4	3.378	19.8	1 0 0
54.3	1.689	16.9	2 0 0
68.3	1.374	16.4	1 1 8
13.2	6.718	12.6	0 0 2
27.2	3.276	9.9	1 0 1
26.5	3.359	9.8	0 0 4

---

Calculated XRD peak list
Compound: Sc6Ga5Au
Radiation: Cu Kα, 1.54184 Å
Structure: the PBE geometry in Alexandria

Structural model:
```
data_Sc6Ga5Au
_cell_length_a 4.748
_cell_length_b 6.796
_cell_length_c 7.504
_cell_angle_alpha 90.00
_cell_angle_beta 108.25
_cell_angle_gamma 90.00
_symmetry_space_group_name_H-M 'P 1 2/m 1'
_symmetry_Int_Tables_number 10
loop_
_symmetry_equiv_pos_as_xyz
'x,y,z'
'-x,-y,-z'
'-x,y,-z'
'x,-y,z'
loop_
_atom_site_label
_atom_site_type_symbol
_atom_site_fract_x
_atom_site_fract_y
_atom_site_fract_z
Sc1 Sc 0.000 0.247 0.000
Sc2 Sc 0.333 0.249 0.665
Ga1 Ga 0.165 0.500 0.329
Ga2 Ga 0.167 0.000 0.334
Ga3 Ga 0.500 0.000 0.000
Au1 Au 0.500 0.500 0.000
```

The 10 most intense peaks (5° ≤ 2θ ≤ 70°), in order of falling intensity:
Position (°2θ)	d (Å)	I_rel	(hkl)
37.7	2.389	100.0	1 2 1
37.9	2.375	49.1	0 0 3
67.8	1.382	16.6	0 4 3
68.2	1.375	16.2	3 2 0
68.3	1.373	16.1	3 2 -3
26.5	3.358	15.2	1 0 1
54.0	1.699	8.5	0 4 0
54.6	1.682	8.2	2 0 2
54.8	1.676	8.1	2 0 -4
26.2	3.398	7.8	0 2 0

---

Calculated XRD peak list
Compound: Sm2ScGa3Au4
Radiation: Cu Kα, 1.54184 Å
Structure: the PBE geometry in Alexandria

Structural model:
```
data_Sm2ScGa3Au4
_cell_length_a 4.324
_cell_length_b 4.324
_cell_length_c 11.404
_cell_angle_alpha 90.00
_cell_angle_beta 90.00
_cell_angle_gamma 90.00
_symmetry_space_group_name_H-M 'P -4 m 2'
_symmetry_Int_Tables_number 115
loop_
_symmetry_equiv_pos_as_xyz
'x,y,z'
'y,-x,-z'
'-x,-y,z'
'-y,x,-z'
'-x,y,z'
'-y,-x,-z'
'x,-y,z'
'y,x,-z'
loop_
_atom_site_label
_atom_site_type_symbol
_atom_site_fract_x
_atom_site_fract_y
_atom_site_fract_z
Sm1 Sm 0.000 0.500 0.226
Sc1 Sc 0.000 0.000 0.500
Ga1 Ga 0.000 0.500 0.869
Ga2 Ga 0.500 0.500 0.500
Au1 Au 0.000 0.000 0.000
Au2 Au 0.000 0.500 0.648
Au3 Au 0.500 0.500 0.000
```

The 10 most intense peaks (5° ≤ 2θ ≤ 70°), in order of falling intensity:
Position (°2θ)	d (Å)	I_rel	(hkl)
33.2	2.695	100.0	1 1 2
41.8	2.162	57.5	2 0 0
31.3	2.855	36.3	1 0 3
43.4	2.085	30.9	1 1 4
44.9	2.017	27.7	1 0 5
7.8	11.404	25.1	0 0 1
25.9	3.446	22.4	1 0 2
63.0	1.475	20.5	2 1 5
30.3	2.953	20.1	1 1 1
60.6	1.529	19.2	2 2 0

---

Calculated XRD peak list
Compound: GaSnAu2Se4
Radiation: Cu Kα, 1.54184 Å
Structure: the PBE geometry in Alexandria

Structural model:
```
data_GaSnAu2Se4
_cell_length_a 6.069
_cell_length_b 6.069
_cell_length_c 12.140
_cell_angle_alpha 90.00
_cell_angle_beta 90.00
_cell_angle_gamma 90.00
_symmetry_space_group_name_H-M 'I -4'
_symmetry_Int_Tables_number 82
loop_
_symmetry_equiv_pos_as_xyz
'x,y,z'
'y,-x,-z'
'-x,-y,z'
'-y,x,-z'
'x+1/2,y+1/2,z+1/2'
'y+1/2,-x+1/2,-z+1/2'
'-x+1/2,-y+1/2,z+1/2'
'-y+1/2,x+1/2,-z+1/2'
loop_
_atom_site_label
_atom_site_type_symbol
_atom_site_fract_x
_atom_site_fract_y
_atom_site_fract_z
Ga1 Ga 0.000 0.000 0.000
Sn1 Sn 0.000 0.500 0.750
Au1 Au 0.000 0.000 0.500
Au2 Au 0.000 0.500 0.250
Se1 Se 0.228 0.751 0.116
```

The 10 most intense peaks (5° ≤ 2θ ≤ 70°), in order of falling intensity:
Position (°2θ)	d (Å)	I_rel	(hkl)
25.4	3.504	100.0	1 1 2
42.1	2.146	71.0	2 2 0
49.8	1.830	47.9	3 1 2
67.2	1.392	19.3	1 3 6
16.3	5.429	11.6	1 0 1
61.1	1.517	11.5	4 0 0
29.4	3.035	8.9	0 0 4
33.8	2.649	5.5	1 2 1
40.0	2.254	4.9	2 1 3
26.5	3.367	4.4	1 0 3